(1)
Pr9Tl3N2: theoretical XRD peak list (Cu Kα (λ = 1.5418 Å)), based on a PBE-relaxed structure.
Peak positions follow from Bragg's law for the DFT cell and can differ from measured ones.

Largest 8 diffraction maxima, in order of rising 2θ, 2θ = 10–90°:
30.36 deg, I = 100, (2 0 1)
35.19 deg, I = 54, (0 2 2)
50.62 deg, I = 38, (2 2 0)
60.18 deg, I = 43, (0 4 1)
63.15 deg, I = 13, (4 0 2)
74.41 deg, I = 6, (0 4 4)
82.43 deg, I = 18, (4 2 1)
85.07 deg, I = 17, (2 4 2)

Structure:
Unit cell a=7.2121 b=7.2121 c=8.8343 alpha=90.00 beta=90.00 gamma=120.00
Space group P-3m1 (No. 164)
One atom of each set of equivalent atoms:
Pr 0.0000 0.5000 0.0000
Pr 0.1704 0.3407 0.6723
Tl 0.0000 0.0000 0.0000
Tl 0.3333 0.6667 0.3333
N 0.3333 0.6667 0.8296

(2)
YHf2Sc6: theoretical XRD peak list (Cu Kα (λ = 1.5418 Å)), based on a PBE-relaxed structure.
Peak positions follow from Bragg's law for the DFT cell and can differ from measured ones.

Largest 8 diffraction maxima, in order of rising 2θ, 2θ = 10–90°:
11.13 deg, I = 100, (0 0 3)
31.36 deg, I = 42, (1 0 0)
33.37 deg, I = 39, (1 0 3)
33.81 deg, I = 36, (0 0 9)
34.87 deg, I = 58, (1 0 4)
36.71 deg, I = 54, (1 0 5)
38.86 deg, I = 38, (1 0 6)
66.89 deg, I = 28, (1 1 9)

Structure:
Unit cell a=3.2934 b=3.2934 c=23.8590 alpha=90.00 beta=90.00 gamma=120.00
Space group P-6m2 (No. 187)
One atom of each set of equivalent atoms:
Y 0.0000 0.0000 0.0000
Hf 0.6667 0.3333 0.3329
Sc 0.0000 0.0000 0.2280
Sc 0.0000 0.0000 0.4359
Sc 0.6667 0.3333 0.1182

(3)
Ac2Sm5Ho5: theoretical XRD peak list (Cu Kα (λ = 1.5418 Å)), based on a PBE-relaxed structure.
Peak positions follow from Bragg's law for the DFT cell and can differ from measured ones.

Largest 8 diffraction maxima, in order of rising 2θ, 2θ = 10–90°:
30.03 deg, I = 100, (3 1 1)
34.75 deg, I = 34, (0 2 0)
34.91 deg, I = 17, (0 0 4)
50.00 deg, I = 18, (6 2 -2)
50.10 deg, I = 18, (0 2 4)
59.40 deg, I = 29, (3 3 1)
59.61 deg, I = 14, (3 1 -7)
62.41 deg, I = 13, (6 2 -6)

Structure:
Unit cell a=15.488 b=5.162 c=11.498 alpha=90.00 beta=116.62 gamma=90.00
Space group C2/m (No. 12)
One atom of each set of equivalent atoms:
Ac 0.082 0.000 0.248
Sm 0.000 0.500 0.000
Sm 0.088 0.500 0.751
Sm 0.165 0.500 0.501
Ho 0.000 0.000 0.500
Ho 0.171 0.000 0.001
Ho 0.246 0.000 0.750

(4)
NdDyThMg: theoretical XRD peak list (Cu Kα (λ = 1.5418 Å)), based on a PBE-relaxed structure.
Peak positions follow from Bragg's law for the DFT cell and can differ from measured ones.

Largest 8 diffraction maxima, in order of rising 2θ, 2θ = 10–90°:
26.43 deg, I = 23, (1 0 1)
31.31 deg, I = 100, (1 0 2)
35.07 deg, I = 37, (1 1 0)
38.68 deg, I = 14, (0 0 4)
50.45 deg, I = 13, (2 0 0)
53.20 deg, I = 22, (1 1 4)
60.58 deg, I = 31, (2 1 2)
65.32 deg, I = 12, (2 0 4)

Structure:
Unit cell a=3.618 b=3.618 c=9.312 alpha=90.00 beta=90.00 gamma=90.00
Space group P4mm (No. 99)
One atom of each set of equivalent atoms:
Nd 0.000 0.000 0.000
Dy 0.000 0.000 0.482
Th 0.500 0.500 0.736
Mg 0.500 0.500 0.249

(5)
Na3ZrF8: theoretical XRD peak list (Cu Kα (λ = 1.5418 Å)), based on a PBE-relaxed structure.
Peak positions follow from Bragg's law for the DFT cell and can differ from measured ones.

Largest 8 diffraction maxima, in order of rising 2θ, 2θ = 10–90°:
16.35 deg, I = 73, (1 0 0)
23.20 deg, I = 40, (1 1 0)
28.51 deg, I = 86, (1 1 1)
40.76 deg, I = 15, (2 1 1)
47.42 deg, I = 100, (2 2 0)
56.27 deg, I = 34, (3 1 1)
61.68 deg, I = 14, (3 2 0)
88.30 deg, I = 22, (4 2 2)

Structure:
Unit cell a=5.422 b=5.422 c=5.422 alpha=90.00 beta=90.00 gamma=90.00
Space group Pm-3m (No. 221)
One atom of each set of equivalent atoms:
Na 0.000 0.000 0.500
Zr 0.500 0.500 0.500
F 0.271 0.271 0.271

(6)
TlCu2NiS4: theoretical XRD peak list (Cu Kα (λ = 1.5418 Å)), based on a PBE-relaxed structure.
Peak positions follow from Bragg's law for the DFT cell and can differ from measured ones.

Largest 8 diffraction maxima, in order of rising 2θ, 2θ = 10–90°:
18.28 deg, I = 20, (1 0 1)
28.63 deg, I = 100, (1 1 2)
32.77 deg, I = 16, (2 0 0)
37.78 deg, I = 13, (2 1 1)
47.03 deg, I = 18, (2 2 0)
47.92 deg, I = 35, (2 0 4)
55.99 deg, I = 29, (3 1 2)
57.56 deg, I = 13, (1 1 6)

Structure:
Unit cell a=5.465 b=5.465 c=10.557 alpha=90.00 beta=90.00 gamma=90.00
Space group I-42m (No. 121)
One atom of each set of equivalent atoms:
Tl 0.000 0.000 0.000
Cu 0.000 0.500 0.250
Ni 0.000 0.000 0.500
S 0.214 0.214 0.363

(7)
DyTm2ZrSc4: theoretical XRD peak list (Cu Kα (λ = 1.5418 Å)), based on a PBE-relaxed structure.
Peak positions follow from Bragg's law for the DFT cell and can differ from measured ones.

Largest 8 diffraction maxima, in order of rising 2θ, 2θ = 10–90°:
19.08 deg, I = 27, (0 0 2)
26.54 deg, I = 24, (1 1 0)
32.89 deg, I = 100, (1 1 2)
37.82 deg, I = 17, (0 2 0)
37.94 deg, I = 17, (2 0 0)
38.72 deg, I = 16, (0 0 4)
55.29 deg, I = 22, (2 0 4)
65.20 deg, I = 13, (1 3 2)

Structure:
Unit cell a=4.743 b=4.757 c=9.301 alpha=90.00 beta=90.00 gamma=90.00
Space group Pmmm (No. 47)
One atom of each set of equivalent atoms:
Dy 0.000 0.000 0.000
Tm 0.000 0.000 0.500
Tm 0.500 0.500 0.000
Zr 0.500 0.500 0.500
Sc 0.000 0.500 0.261
Sc 0.500 0.000 0.261

(8)
PmPr6Ho2Th: theoretical XRD peak list (Cu Kα (λ = 1.5418 Å)), based on a PBE-relaxed structure.
Peak positions follow from Bragg's law for the DFT cell and can differ from measured ones.

Largest 8 diffraction maxima, in order of rising 2θ, 2θ = 10–90°:
28.07 deg, I = 73, (1 3 2)
29.40 deg, I = 72, (3 1 -1)
29.85 deg, I = 79, (0 2 3)
30.72 deg, I = 100, (2 2 2)
30.92 deg, I = 67, (2 4 -1)
31.02 deg, I = 58, (1 5 0)
31.97 deg, I = 49, (1 5 -1)
32.93 deg, I = 40, (1 3 -3)

Structure:
Unit cell a=9.440 b=15.154 c=9.884 alpha=90.00 beta=98.47 gamma=90.00
Space group C2/c (No. 15)
One atom of each set of equivalent atoms:
Pm 0.000 0.094 0.250
Pr 0.068 0.326 0.442
Pr 0.095 0.105 0.619
Pr 0.206 0.282 0.813
Ho 0.241 0.455 0.051
Th 0.000 0.470 0.750

(9)
Tb3Te2N: theoretical XRD peak list (Cu Kα (λ = 1.5418 Å)), based on a PBE-relaxed structure.
Peak positions follow from Bragg's law for the DFT cell and can differ from measured ones.

Largest 8 diffraction maxima, in order of rising 2θ, 2θ = 10–90°:
24.73 deg, I = 33, (3 1 0)
28.28 deg, I = 100, (3 1 1)
30.31 deg, I = 40, (2 2 1)
30.45 deg, I = 78, (1 1 2)
35.00 deg, I = 62, (1 3 0)
35.66 deg, I = 47, (0 2 2)
37.10 deg, I = 70, (3 1 2)
46.87 deg, I = 34, (4 2 2)

Structure:
Unit cell a=12.148 b=7.869 c=6.553 alpha=90.00 beta=90.00 gamma=90.00
Space group Cmc2_1 (No. 36)
One atom of each set of equivalent atoms:
Tb 0.000 0.137 0.000
Tb 0.135 0.489 0.656
Te 0.160 0.162 0.381
N 0.000 0.413 0.904

(10)
Cs3NpBi3S8: theoretical XRD peak list (Cu Kα (λ = 1.5418 Å)), based on a PBE-relaxed structure.
Peak positions follow from Bragg's law for the DFT cell and can differ from measured ones.

Largest 8 diffraction maxima, in order of rising 2θ, 2θ = 10–90°:
10.72 deg, I = 47, (0 0 3)
21.54 deg, I = 34, (0 0 6)
25.83 deg, I = 57, (2 0 2)
28.74 deg, I = 100, (0 2 4)
38.40 deg, I = 40, (2 0 8)
43.66 deg, I = 34, (2 2 0)
44.45 deg, I = 21, (0 2 10)
49.18 deg, I = 25, (2 2 6)

Structure:
Unit cell a=8.2937 b=8.2937 c=24.7529 alpha=90.00 beta=90.00 gamma=120.00
Space group R-3m (No. 166, hexagonal axes)
One atom of each set of equivalent atoms:
Cs 0.0000 0.5000 0.0000
Np 0.0000 0.0000 0.5000
Bi 0.0000 0.5000 0.5000
S 0.0000 0.0000 0.2298
S 0.0156 0.5078 0.2266

(11)
In5Sn3I12: theoretical XRD peak list (Cu Kα (λ = 1.5418 Å)), based on a PBE-relaxed structure.
Peak positions follow from Bragg's law for the DFT cell and can differ from measured ones.

Largest 8 diffraction maxima, in order of rising 2θ, 2θ = 10–90°:
25.79 deg, I = 55, (3 1 0)
27.06 deg, I = 100, (2 1 1)
28.67 deg, I = 27, (4 0 0)
31.54 deg, I = 81, (2 2 1)
37.00 deg, I = 21, (3 2 1)
38.44 deg, I = 23, (4 1 1)
39.03 deg, I = 29, (0 0 2)
47.37 deg, I = 21, (3 1 2)

Structure:
Unit cell a=14.3820 b=14.3820 c=4.6155 alpha=90.00 beta=90.00 gamma=120.00
Space group P-62m (No. 189)
One atom of each set of equivalent atoms:
In 0.0000 0.2924 0.0000
In 0.3333 0.6667 0.0000
Sn 0.0000 0.6788 0.5000
I 0.0000 0.5283 0.0000
I 0.0000 0.8326 0.0000
I 0.1963 0.4520 0.5000

(12)
Dy3SeO3: theoretical XRD peak list (Cu Kα (λ = 1.5418 Å)), based on a PBE-relaxed structure.
Peak positions follow from Bragg's law for the DFT cell and can differ from measured ones.

Largest 8 diffraction maxima, in order of rising 2θ, 2θ = 10–90°:
26.32 deg, I = 17, (0 0 6)
26.96 deg, I = 15, (1 1 0)
30.07 deg, I = 100, (1 1 3)
38.03 deg, I = 36, (2 -1 6)
47.63 deg, I = 32, (3 0 0)
48.84 deg, I = 20, (1 1 9)
57.36 deg, I = 17, (4 -2 3)
77.69 deg, I = 14, (4 1 3)

Structure:
Unit cell a=6.6139 b=6.6139 c=20.3191 alpha=90.00 beta=90.00 gamma=120.00
Space group R-3 (No. 148, hexagonal axes)
One atom of each set of equivalent atoms:
Dy 0.0000 0.3304 0.4038
Se 0.0000 0.0000 0.1667
O 0.0001 0.3328 0.6241

(13)
Li3La3Au8: theoretical XRD peak list (Cu Kα (λ = 1.5418 Å)), based on a PBE-relaxed structure.
Peak positions follow from Bragg's law for the DFT cell and can differ from measured ones.

Largest 8 diffraction maxima, in order of rising 2θ, 2θ = 10–90°:
12.69 deg, I = 19, (0 0 2)
25.54 deg, I = 30, (0 0 4)
32.00 deg, I = 38, (0 2 4)
33.53 deg, I = 54, (1 1 4)
34.63 deg, I = 100, (1 3 0)
38.78 deg, I = 45, (2 0 0)
43.52 deg, I = 36, (1 3 4)
51.13 deg, I = 21, (2 2 4)

Structure:
Unit cell a=4.643 b=9.364 c=13.950 alpha=90.00 beta=90.00 gamma=90.00
Space group Immm (No. 71)
One atom of each set of equivalent atoms:
Li 0.000 0.000 0.000
Li 0.000 0.310 0.500
La 0.000 0.500 0.000
La 0.000 0.500 0.282
Au 0.000 0.148 0.345
Au 0.000 0.191 0.123